# 1
For Cs5ErO4, a PBE-relaxed structure gives the theoretical X-ray diffraction stick pattern in this record (Cu Kα).
Peak positions follow from Bragg's law for the DFT cell and can differ from measured ones.

Structure:
a = 8.4977 Å, b = 9.9732 Å, c = 7.0119 Å
α = 90.00°, β = 90.00°, γ = 90.00°
Element x y z (fractional)
Cs 0.0113 0.0635 0.2437
Cs 0.0113 0.4365 0.2437
Cs 0.2500 0.7500 0.3270
Cs 0.4887 0.0635 0.2437
Cs 0.4887 0.4365 0.2437
Cs 0.5113 0.5635 0.7563
Cs 0.5113 0.9365 0.7563
Cs 0.7500 0.2500 0.6730
Cs 0.9887 0.5635 0.7563
Cs 0.9887 0.9365 0.7563
Er 0.2500 0.2500 0.7177
Er 0.7500 0.7500 0.2823
O 0.0348 0.2500 0.8812
O 0.2500 0.0676 0.5497
O 0.2500 0.4324 0.5497
O 0.4652 0.2500 0.8812
O 0.5348 0.7500 0.1188
O 0.7500 0.5676 0.4503
O 0.7500 0.9324 0.4503
O 0.9652 0.7500 0.1188

Principal peaks in the range 10° ≤ 2θ ≤ 80°, by angle:
2theta  I/Imax
25.40  63
26.10  98
27.58  73
29.74  100
37.85  63
42.55  22
47.56  18
50.21  19
52.32  37
52.78  38

=====

# 2
For Rb2NaTl2Pt, a PBE-relaxed structure gives the theoretical X-ray diffraction stick pattern in this record (Cu Kα).
Peak positions follow from Bragg's law for the DFT cell and can differ from measured ones.

Structure:
a = 9.5914 Å, b = 9.5914 Å, c = 9.5914 Å
α = 135.57°, β = 68.12°, γ = 131.20°
Element x y z (fractional)
Rb 0.1681 0.2473 0.4154
Rb 0.3319 0.7473 0.0792
Rb 0.6681 0.2527 0.9208
Rb 0.8319 0.7527 0.5846
Na 0.2500 0.2500 0.0000
Na 0.7500 0.7500 0.0000
Tl 0.0808 0.7035 0.7844
Tl 0.4192 0.2035 0.6227
Tl 0.5808 0.7965 0.3773
Tl 0.9192 0.2965 0.2156
Pt 0.2500 0.7500 0.5000
Pt 0.7500 0.2500 0.5000

Principal peaks in the range 10° ≤ 2θ ≤ 80°, by angle:
2theta  I/Imax
11.13  93
13.42  78
20.01  27
22.44  23
27.97  100
31.92  47
33.48  92
42.96  32
44.25  22
45.80  22

=====

# 3
For CsBaAs2O6, a PBE-relaxed structure gives the theoretical X-ray diffraction stick pattern in this record (Cu Kα).
Peak positions follow from Bragg's law for the DFT cell and can differ from measured ones.

Structure:
a = 8.0575 Å, b = 8.0575 Å, c = 6.3058 Å
α = 98.16°, β = 98.16°, γ = 91.60°
Element x y z (fractional)
Cs 0.1805 0.8195 0.7500
Cs 0.8195 0.1805 0.2500
Ba 0.3798 0.6202 0.2500
Ba 0.6202 0.3798 0.7500
As 0.1432 0.2946 0.7829
As 0.2946 0.1432 0.2829
As 0.7054 0.8568 0.7171
As 0.8568 0.7054 0.2171
O 0.0515 0.6291 0.2668
O 0.1549 0.1793 0.0303
O 0.1793 0.1549 0.5303
O 0.3025 0.4488 0.8427
O 0.3709 0.9485 0.2332
O 0.4488 0.3025 0.3427
O 0.5512 0.6975 0.6573
O 0.6291 0.0515 0.7668
O 0.6975 0.5512 0.1573
O 0.8207 0.8451 0.4697
O 0.8451 0.8207 0.9697
O 0.9485 0.3709 0.7332

Principal peaks in the range 10° ≤ 2θ ≤ 80°, by angle:
2theta  I/Imax
22.32  27
24.75  100
25.49  14
27.63  20
28.40  68
28.92  47
32.57  21
34.28  22
46.60  18
52.61  20

=====

# 4
For Nd2Dy3Ho9, a PBE-relaxed structure gives the theoretical X-ray diffraction stick pattern in this record (Cu Kα).
Peak positions follow from Bragg's law for the DFT cell and can differ from measured ones.

Structure:
a = 6.2625 Å, b = 8.6897 Å, c = 8.7413 Å
α = 79.60°, β = 76.38°, γ = 86.84°
Element x y z (fractional)
Nd 0.0000 0.0000 0.0000
Nd 0.0743 0.0314 0.5543
Dy 0.3581 0.6730 0.9822
Dy 0.4458 0.9728 0.1981
Dy 0.8133 0.3994 0.5962
Ho 0.1040 0.3167 0.1971
Ho 0.2028 0.6235 0.3931
Ho 0.2569 0.3824 0.7628
Ho 0.5247 0.2584 0.4017
Ho 0.5353 0.7670 0.5685
Ho 0.5545 0.0433 0.7918
Ho 0.6673 0.3373 0.9953
Ho 0.7588 0.6227 0.2150
Ho 0.9191 0.6908 0.7983

Principal peaks in the range 10° ≤ 2θ ≤ 80°, by angle:
2theta  I/Imax
31.37  100
31.47  36
31.63  74
31.92  73
33.36  43
33.68  35
34.42  52
48.80  23
52.67  18
59.75  22